[1]
Starting from a cell relaxed with GGA-PBE, the powder diffractogram of Er3Lu3SbTeOs was calculated for Cu Kα.
Neutral-atom scattering factors, no anomalous dispersion.

Most intense lines, 2θ from 10° to 90°, sorted by position:
2theta	d/Å	I/Imax	hkl
12.61	7.017	27	1 0 0
30.99	2.885	100	1 1 1
33.58	2.668	77	2 0 1
33.80	2.652	54	1 2 0
38.49	2.339	41	3 0 0
40.48	2.229	54	2 1 1
44.07	2.055	27	0 0 2
51.99	1.759	12	3 1 1
56.66	1.624	25	1 2 2
59.91	1.544	22	3 0 2
60.46	1.531	10	4 1 0
61.90	1.499	32	2 3 1

Cell and atoms:
abc: 8.1026 8.1026 4.1101
angles: 90.00 90.00 120.00
Space group P-6 (No. 174)
Inequivalent atoms, fractional coordinates:
Er 0.0047 0.6159 0.0000 x3
Lu 0.0006 0.2360 0.5000 x3
Sb 0.3333 0.6667 0.5000 x1
Te 0.6667 0.3333 0.5000 x1
Os 0.0000 0.0000 0.0000 x1

---

[2]
Starting from a cell relaxed with GGA-PBE, the powder diffractogram of ErTm2Lu3Te2Os was calculated for Cu Kα.
Neutral-atom scattering factors, no anomalous dispersion.

Most intense lines, 2θ from 10° to 90°, sorted by position:
2theta	d/Å	I/Imax	hkl
12.54	7.059	25	0 1 1
31.26	2.862	100	1 0 2
33.48	2.677	18	0 1 3
33.64	2.664	36	0 5 1
33.77	2.655	50	1 2 2
33.87	2.647	24	1 4 0
38.18	2.357	29	0 3 3
40.49	2.228	17	1 1 3
40.63	2.220	35	1 4 2
45.12	2.009	25	2 0 0
57.38	1.606	15	2 4 2
61.86	1.500	22	1 8 2

Cell and atoms:
abc: 4.0189 14.0701 8.1791
angles: 90.00 90.00 90.00
Space group Amm2 (No. 38)
Inequivalent atoms, fractional coordinates:
Er 0.0000 0.0000 0.0000 x2
Tm 0.0000 0.1923 0.5787 x4
Lu 0.5000 0.0000 0.6244 x2
Lu 0.5000 0.1189 0.2673 x4
Te 0.5000 0.1666 0.8863 x4
Os 0.0000 0.0000 0.3889 x2

---

[3]
Starting from a cell relaxed with GGA-PBE, the powder diffractogram of ErLuPd2 was calculated for Cu Kα.
Neutral-atom scattering factors, no anomalous dispersion.

Most intense lines, 2θ from 10° to 90°, sorted by position:
2theta	d/Å	I/Imax	hkl
28.79	3.101	44	1 1 1
32.86	2.725	84	1 0 2
35.05	2.560	66	0 2 1
36.78	2.444	100	1 1 2
40.31	2.237	55	2 0 0
40.60	2.222	76	1 2 1
42.73	2.116	25	0 1 3
54.47	1.685	37	2 2 1
56.06	1.640	33	0 1 4
60.20	1.537	18	2 1 3
71.28	1.323	24	2 1 4
79.36	1.207	19	2 3 3

Cell and atoms:
abc: 4.4743 5.5176 6.8733
angles: 90.00 90.00 90.00
Space group Pmc2_1 (No. 26)
Inequivalent atoms, fractional coordinates:
Er 0.0000 0.1062 0.0000 x2
Lu 0.5000 0.3935 0.6362 x2
Pd 0.0000 0.4080 0.3613 x2
Pd 0.5000 0.0960 0.2757 x2

---

[4]
Starting from a cell relaxed with GGA-PBE, the powder diffractogram of ErLu6Pd2Se2 was calculated for Cu Kα.
Neutral-atom scattering factors, no anomalous dispersion.

Most intense lines, 2θ from 10° to 90°, sorted by position:
2theta	d/Å	I/Imax	hkl
29.48	3.030	22	1 3 0
29.66	3.012	21	0 1 3
30.98	2.887	56	1 1 2
31.50	2.840	29	0 5 1
34.28	2.616	50	0 3 3
35.00	2.564	100	1 4 1
35.45	2.532	47	1 3 2
37.55	2.395	20	1 0 3
39.51	2.281	20	1 2 3
47.61	1.910	28	2 0 0
55.79	1.648	18	1 5 4
59.97	1.543	20	2 3 3

Cell and atoms:
abc: 3.8198 14.9243 9.2262
angles: 90.00 90.00 90.00
Space group Imm2 (No. 44)
Inequivalent atoms, fractional coordinates:
Er 0.0000 0.0000 0.0000 x2
Lu 0.0000 0.1227 0.5906 x4
Lu 0.0000 0.3178 0.3801 x4
Lu 0.0000 0.3630 0.7471 x4
Pd 0.0000 0.2390 0.0792 x4
Se 0.0000 0.0000 0.3452 x2
Se 0.0000 0.5000 0.2419 x2

---

[5]
Starting from a cell relaxed with GGA-PBE, the powder diffractogram of Er5Lu2Pd2Se2 was calculated for Cu Kα.
Neutral-atom scattering factors, no anomalous dispersion.

Most intense lines, 2θ from 10° to 90°, sorted by position:
2theta	d/Å	I/Imax	hkl
29.26	3.052	23	1 3 0
29.46	3.032	21	0 1 3
30.76	2.907	56	1 1 2
31.27	2.861	30	0 5 1
34.04	2.634	50	0 3 3
34.73	2.583	100	1 4 1
35.19	2.550	48	1 3 2
37.28	2.412	22	1 0 3
39.23	2.297	22	1 2 3
47.25	1.924	29	2 0 0
52.65	1.739	17	1 7 2
59.50	1.554	20	2 3 3

Cell and atoms:
abc: 3.8475 15.0354 9.2880
angles: 90.00 90.00 90.00
Space group Imm2 (No. 44)
Inequivalent atoms, fractional coordinates:
Er 0.0000 0.0000 0.0000 x2
Er 0.0000 0.1222 0.5900 x4
Er 0.0000 0.3628 0.7473 x4
Lu 0.0000 0.3185 0.3798 x4
Pd 0.0000 0.2382 0.0763 x4
Se 0.0000 0.0000 0.3416 x2
Se 0.0000 0.5000 0.2443 x2

---

[6]
Starting from a cell relaxed with GGA-PBE, the powder diffractogram of Er5Lu2Te2Pd2 was calculated for Cu Kα.
Neutral-atom scattering factors, no anomalous dispersion.

Most intense lines, 2θ from 10° to 90°, sorted by position:
2theta	d/Å	I/Imax	hkl
28.64	3.117	32	1 3 0
30.11	2.968	49	1 1 2
30.31	2.949	22	0 5 1
33.10	2.706	62	0 3 3
33.88	2.646	100	1 4 1
34.36	2.610	51	1 3 2
34.72	2.584	15	0 6 0
36.43	2.466	23	1 0 3
38.29	2.350	21	1 2 3
46.41	1.957	29	2 0 0
51.10	1.787	20	0 3 5
58.18	1.586	25	2 3 3

Cell and atoms:
abc: 3.9134 15.5035 9.5305
angles: 90.00 90.00 90.00
Space group Imm2 (No. 44)
Inequivalent atoms, fractional coordinates:
Er 0.0000 0.0000 0.0000 x2
Er 0.0000 0.1305 0.5838 x4
Er 0.0000 0.3561 0.7347 x4
Lu 0.0000 0.3170 0.3744 x4
Te 0.0000 0.0000 0.3387 x2
Te 0.0000 0.5000 0.2351 x2
Pd 0.0000 0.2359 0.0681 x4

---

[7]
Starting from a cell relaxed with GGA-PBE, the powder diffractogram of Er4Lu3Te2Pd2 was calculated for Cu Kα.
Neutral-atom scattering factors, no anomalous dispersion.

Most intense lines, 2θ from 10° to 90°, sorted by position:
2theta	d/Å	I/Imax	hkl
28.67	3.113	30	1 3 0
30.15	2.965	49	1 1 2
30.39	2.941	21	0 5 1
33.08	2.708	61	0 3 3
33.98	2.638	100	1 4 1
34.42	2.606	48	1 3 2
34.83	2.576	14	0 6 0
36.43	2.466	21	1 0 3
38.31	2.349	18	1 2 3
46.57	1.950	28	2 0 0
51.26	1.782	20	1 7 2
58.31	1.582	24	2 3 3

Cell and atoms:
abc: 3.9001 15.4562 9.5499
angles: 90.00 90.00 90.00
Space group Imm2 (No. 44)
Inequivalent atoms, fractional coordinates:
Er 0.0000 0.1432 0.0000 x4
Er 0.0000 0.1826 0.3606 x4
Lu 0.0000 0.3693 0.1506 x4
Lu 0.0000 0.5000 0.7341 x2
Te 0.0000 0.0000 0.5013 x2
Te 0.0000 0.5000 0.3938 x2
Pd 0.0000 0.2630 0.6653 x4

---

[8]
Starting from a cell relaxed with GGA-PBE, the powder diffractogram of Y3Er2Lu2Te2Pd2 was calculated for Cu Kα.
Neutral-atom scattering factors, no anomalous dispersion.

Most intense lines, 2θ from 10° to 90°, sorted by position:
2theta	d/Å	I/Imax	hkl
10.88	8.133	16	0 1 1
24.49	3.635	23	1 0 1
30.01	2.977	38	1 1 2
30.14	2.966	23	0 5 1
33.04	2.711	61	0 3 3
33.70	2.659	100	1 4 1
34.22	2.620	72	1 3 2
36.36	2.471	20	1 0 3
38.20	2.356	27	1 2 3
39.50	2.281	21	0 6 2
46.17	1.966	31	2 0 0
57.94	1.592	24	2 3 3

Cell and atoms:
abc: 3.9326 15.6023 9.5296
angles: 90.00 90.00 90.00
Space group Imm2 (No. 44)
Inequivalent atoms, fractional coordinates:
Y 0.0000 0.0000 0.0000 x2
Y 0.0000 0.3556 0.2609 x4
Er 0.0000 0.1295 0.4139 x4
Lu 0.0000 0.3173 0.6229 x4
Te 0.0000 0.0000 0.6605 x2
Te 0.0000 0.5000 0.7631 x2
Pd 0.0000 0.2387 0.9334 x4

---

[9]
Starting from a cell relaxed with GGA-PBE, the powder diffractogram of Er3LuPt4 was calculated for Cu Kα.
Neutral-atom scattering factors, no anomalous dispersion.

Most intense lines, 2θ from 10° to 90°, sorted by position:
2theta	d/Å	I/Imax	hkl
28.77	3.104	18	1 1 1
32.76	2.734	73	0 1 2
34.98	2.565	46	2 0 -1
36.68	2.450	100	1 1 2
40.39	2.233	51	0 2 0
40.56	2.224	89	2 1 1
54.48	1.684	26	2 2 -1
55.64	1.652	16	1 0 -4
60.07	1.540	15	1 2 -3
68.65	1.367	15	0 3 2
71.00	1.328	26	1 2 -4
73.56	1.288	16	2 3 1

Cell and atoms:
abc: 5.5242 4.4659 6.9151
angles: 90.00 90.22 90.00
Space group Pm (No. 6)
Inequivalent atoms, fractional coordinates:
Er 0.0000 0.0000 0.0000 x1
Er 0.2181 0.0000 0.4990 x1
Er 0.7174 0.5000 0.6366 x1
Lu 0.4996 0.5000 0.1368 x1
Pt 0.0161 0.5000 0.2724 x1
Pt 0.2035 0.5000 0.7753 x1
Pt 0.5150 0.0000 0.8660 x1
Pt 0.7005 0.0000 0.3596 x1

---

[10]
Starting from a cell relaxed with GGA-PBE, the powder diffractogram of ErLu3Pt4 was calculated for Cu Kα.
Neutral-atom scattering factors, no anomalous dispersion.

Most intense lines, 2θ from 10° to 90°, sorted by position:
2theta	d/Å	I/Imax	hkl
20.66	4.298	14	1 0 -1
28.92	3.088	19	1 1 1
32.95	2.718	75	0 1 2
35.11	2.556	47	2 0 -1
36.88	2.437	100	1 1 2
40.68	2.218	96	0 2 0
40.78	2.213	45	2 1 1
54.79	1.676	27	2 2 -1
60.45	1.532	15	1 2 -3
71.48	1.320	26	1 2 -4
74.04	1.280	16	2 3 1
88.01	1.110	13	0 4 0

Cell and atoms:
abc: 5.5054 4.4382 6.8777
angles: 90.00 90.22 90.00
Space group Pm (No. 6)
Inequivalent atoms, fractional coordinates:
Er 0.0000 0.0000 0.0000 x1
Lu 0.2182 0.0000 0.4998 x1
Lu 0.4996 0.5000 0.1380 x1
Lu 0.7175 0.5000 0.6369 x1
Pt 0.0162 0.5000 0.2769 x1
Pt 0.2031 0.5000 0.7713 x1
Pt 0.5151 0.0000 0.8624 x1
Pt 0.7005 0.0000 0.3649 x1

---

[11]
Starting from a cell relaxed with GGA-PBE, the powder diffractogram of Er3Lu3Te2Pt was calculated for Cu Kα.
Neutral-atom scattering factors, no anomalous dispersion.

Most intense lines, 2θ from 10° to 90°, sorted by position:
2theta	d/Å	I/Imax	hkl
12.29	7.201	16	1 0 0
31.52	2.839	100	1 1 1
32.91	2.722	58	2 1 0
33.95	2.641	91	2 0 1
37.47	2.400	49	3 0 0
40.47	2.229	45	2 1 1
45.41	1.997	9	3 1 0
46.77	1.942	23	0 0 2
51.44	1.776	14	3 1 1
58.36	1.581	23	2 1 2
60.94	1.520	41	3 2 1
61.40	1.510	23	3 0 2

Cell and atoms:
abc: 8.3153 8.3153 3.8849
angles: 90.00 90.00 120.00
Space group P-62m (No. 189)
Inequivalent atoms, fractional coordinates:
Er 0.0000 0.2476 0.0000 x3
Lu 0.0000 0.6029 0.5000 x3
Te 0.3333 0.6667 0.0000 x2
Pt 0.0000 0.0000 0.5000 x1

---

[12]
Starting from a cell relaxed with GGA-PBE, the powder diffractogram of ErLuSc2Sb2 was calculated for Cu Kα.
Neutral-atom scattering factors, no anomalous dispersion.

Most intense lines, 2θ from 10° to 90°, sorted by position:
2theta	d/Å	I/Imax	hkl
10.97	8.064	33	0 0 2
22.05	4.032	25	0 0 4
29.33	3.045	100	1 1 0
31.40	2.849	70	1 1 2
33.33	2.688	35	0 0 6
34.75	2.582	72	1 0 5
37.00	2.430	81	1 1 4
41.96	2.153	71	2 0 0
54.61	1.681	37	2 0 6
55.57	1.654	57	1 0 9
71.99	1.312	26	2 1 9
82.73	1.167	28	2 1 11

Cell and atoms:
abc: 4.3061 4.3061 16.1283
angles: 90.00 90.00 90.00
Space group I4mm (No. 107)
Inequivalent atoms, fractional coordinates:
Er 0.0000 0.0000 0.0000 x2
Lu 0.0000 0.0000 0.3519 x2
Sc 0.0000 0.5000 0.1766 x4
Sb 0.0000 0.0000 0.5431 x2
Sb 0.0000 0.0000 0.8094 x2

---

[13]
Starting from a cell relaxed with GGA-PBE, the powder diffractogram of Er2LuSe3 was calculated for Cu Kα.
Neutral-atom scattering factors, no anomalous dispersion.

Most intense lines, 2θ from 10° to 90°, sorted by position:
2theta	d/Å	I/Imax	hkl
27.30	3.267	18	1 0 1
31.56	2.835	100	0 1 2
45.08	2.011	37	1 0 4
45.39	1.998	37	1 1 0
55.80	1.647	7	0 0 6
56.33	1.633	19	2 0 2
65.89	1.418	12	0 2 4
74.67	1.271	17	1 1 6
75.12	1.265	17	1 2 2
82.98	1.164	6	0 1 8
83.64	1.156	13	2 1 4
83.86	1.154	6	3 0 0

Cell and atoms:
abc: 3.9965 3.9965 9.8845
angles: 90.00 90.00 120.00
Space group P-3m1 (No. 164)
Inequivalent atoms, fractional coordinates:
Er 0.3333 0.6667 0.1666 x2
Lu 0.0000 0.0000 0.5000 x1
Se 0.0000 0.0000 0.0000 x1
Se 0.3333 0.6667 0.6628 x2

---

[14]
Starting from a cell relaxed with GGA-PBE, the powder diffractogram of SmErLu was calculated for Cu Kα.
Neutral-atom scattering factors, no anomalous dispersion.

Most intense lines, 2θ from 10° to 90°, sorted by position:
2theta	d/Å	I/Imax	hkl
20.17	4.403	22	1 1 1
23.33	3.813	18	2 0 0
33.23	2.696	100	2 2 0
39.18	2.299	12	3 1 1
41.00	2.202	6	2 2 2
47.70	1.907	18	4 0 0
52.29	1.750	5	3 3 1
53.75	1.705	8	4 2 0
59.37	1.557	38	4 2 2
69.76	1.348	12	4 4 0
79.48	1.206	17	6 2 0
88.91	1.101	4	4 4 4

Cell and atoms:
abc: 7.6264 7.6264 7.6264
angles: 90.00 90.00 90.00
Space group F-43m (No. 216)
Inequivalent atoms, fractional coordinates:
Sm 0.0000 0.0000 0.0000 x4
Er 0.2500 0.2500 0.7500 x4
Lu 0.2500 0.2500 0.2500 x4